HgSb4S8: simulated PXRD pattern (Cu Kα, 1.54184 Å), based on DFT lattice parameters and positions (GGA-PBE).
Kinematic intensities with the Lorentz-polarization factor, no thermal factor.

Crystal structure
```
HgSb4S8
1.0
11.2206 -1.9907 0.0000
11.2206 1.9907 0.0000
-7.4169 0.0000 29.8109
Hg Sb S
4 16 32
Cartesian
0.0000 0.0000 0.0000
-3.7085 0.0000 14.9054
5.6579 0.0130 22.3581
9.3663 -0.0130 7.4527
-1.1183 0.0654 10.9857
-4.8267 -0.0654 25.8911
2.6688 0.2416 8.7023
2.9815 0.1056 13.6439
-1.0396 -0.2416 23.6077
-0.7269 -0.1056 28.5493
6.7741 0.0509 11.3750
3.0657 -0.0509 26.2804
11.9585 0.0509 3.5304
8.2501 -0.0509 18.4359
15.7512 0.1056 1.2616
16.0638 0.2416 6.2031
12.0427 -0.1056 16.1670
12.3554 -0.2416 21.1085
19.8510 0.0654 3.9198
16.1425 -0.0654 18.8252
-0.4100 0.0036 5.1072
-4.1185 -0.0036 20.0126
-2.1158 0.0144 16.6811
1.5927 -0.0144 1.7757
0.5743 0.0274 14.2838
-3.1342 -0.0274 29.1892
3.9262 0.0736 4.4252
0.2178 -0.0736 19.3306
1.7520 0.0257 17.9284
5.4604 -0.0257 3.0229
5.0821 0.1056 8.0863
1.3737 -0.1056 22.9917
4.0676 0.0076 20.5811
7.7760 -0.0076 5.6756
9.7782 0.0019 2.3432
6.0697 -0.0019 17.2486
8.9545 0.0019 12.5623
5.2461 -0.0019 27.4677
7.2482 0.0076 24.1352
10.9566 -0.0076 9.2298
13.6506 0.1056 6.8191
9.9421 -0.1056 21.7245
9.5638 0.0257 26.7879
13.2722 -0.0257 11.8825
14.8065 0.0736 10.4802
11.0980 -0.0736 25.3856
18.1584 0.0274 0.6216
14.4499 -0.0274 15.5270
13.4315 0.0144 28.0352
17.1400 -0.0144 13.1297
19.1427 0.0036 9.7983
15.4343 -0.0036 24.7037
```

Principal peaks in the range 15 to 90 degrees two-theta, by angle:
d/Å	two_theta	intensity
5.444	16.28	47
3.820	23.29	24
3.748	23.74	29
3.626	24.55	47
3.315	26.90	27
3.026	29.52	100
3.013	29.65	45
2.732	32.78	23
1.991	45.56	26
1.941	46.81	27

HgSb2S4: simulated PXRD pattern (Cu Kα, 1.54184 Å), based on DFT lattice parameters and positions (GGA-PBE).
Kinematic intensities with the Lorentz-polarization factor, no thermal factor.

Crystal structure
```
HgSb2S4
1.0
3.7768 -7.7286 0.0000
3.7768 7.7286 0.0000
0.0000 0.0000 8.2680
Hg Sb S
2 4 8
Cartesian
0.0000 0.0000 2.0670
0.0000 0.0000 6.2010
3.7299 3.8777 0.0000
3.8237 3.8777 4.1340
3.7299 -3.8777 4.1340
3.8237 -3.8777 0.0000
0.7385 1.5074 4.1340
1.8884 3.8643 1.7679
1.8884 3.8643 6.5001
6.8151 -1.5074 4.1340
0.7385 -1.5074 0.0000
1.8884 -3.8643 2.3661
1.8884 -3.8643 5.9020
6.8151 1.5074 0.0000
```

Principal peaks in the range 15 to 90 degrees two-theta, by angle:
d/Å	two_theta	intensity
4.256	20.87	22
3.864	23.02	59
3.778	23.55	46
3.645	24.42	61
2.966	30.14	27
2.701	33.17	29
2.623	34.19	100
2.186	41.30	25
1.892	48.09	42
1.676	54.76	23

HgSbS2: simulated PXRD pattern (Cu Kα, 1.54184 Å), based on DFT lattice parameters and positions (GGA-PBE).
Kinematic intensities with the Lorentz-polarization factor, no thermal factor.

Crystal structure
```
HgSbS2
1.0
-4.3277 5.1713 2.8555
4.3277 -5.1713 2.8555
4.3277 5.1713 -2.8555
Hg Sb S
2 2 4
Cartesian
2.1639 2.5277 0.0000
2.1639 2.6437 2.8555
-2.1639 3.9612 2.0967
2.1639 6.3815 2.0967
2.1639 -1.4823 2.5050
2.1639 6.6536 -0.3505
0.0000 5.1713 2.5969
0.0000 0.0000 5.4524
```

Principal peaks in the range 15 to 90 degrees two-theta, by angle:
d/Å	two_theta	intensity
5.171	17.15	36
4.999	17.74	31
4.328	20.52	100
3.319	26.86	53
3.203	27.86	90
2.856	31.33	29
2.623	34.18	50
2.213	40.78	33
2.164	41.73	58
2.131	42.41	31

Hg2Sb2S5: simulated PXRD pattern (Cu Kα, 1.54184 Å), based on DFT lattice parameters and positions (GGA-PBE).
Kinematic intensities with the Lorentz-polarization factor, no thermal factor.

Crystal structure
```
Hg2Sb2S5
1.0
9.4675 -2.0212 0.0000
9.4675 2.0212 0.0000
-0.7850 0.0000 6.5797
Hg Sb S
2 2 5
Cartesian
2.2277 0.0000 2.1589
15.9224 0.0000 4.4208
7.9480 0.0000 1.4915
10.2021 0.0000 5.0881
-0.3925 0.0000 3.2898
1.9700 0.0000 6.3330
5.9254 0.0000 2.8987
12.2247 0.0000 3.6810
16.1801 0.0000 0.2467
```

Principal peaks in the range 15 to 90 degrees two-theta, by angle:
d/Å	two_theta	intensity
4.700	18.88	100
3.627	24.54	29
3.397	26.23	39
3.351	26.60	84
3.227	27.65	41
3.101	28.79	51
2.969	30.10	41
2.942	30.38	53
2.237	40.31	51
1.899	47.91	46